(1)
Calculated powder diffractogram of K2PtBr4 for Cu Kα (weighted mean of Kα1 and Kα2), from a DFT-relaxed cell (PBE, OQMD).
No peak broadening, texture or thermal motion is included.

Structural model:
a = 7.461 Å, b = 7.461 Å, c = 4.467 Å
α = 90.00°, β = 90.00°, γ = 90.00°
Space group P4/mmm (No. 123)
One atom of each set of equivalent atoms:
K1 0.000 0.500 0.000 [2 per cell]
Pt1 0.000 0.000 0.500 [1 per cell]
Br1 0.234 0.234 0.500 [4 per cell]

Principal peaks in the range 5 to 70 degrees two-theta, in order of falling intensity:
11.86 deg, intensity 100, hkl 1 0 0; 19.87 deg, intensity 61, hkl 0 0 1; 33.98 deg, intensity 57, hkl 2 2 0; 26.14 deg, intensity 51, hkl 1 1 1; 23.21 deg, intensity 44, hkl 1 0 1; 39.68 deg, intensity 39, hkl 2 2 1; 53.77 deg, intensity 30, hkl 2 2 2; 43.37 deg, intensity 23, hkl 3 1 1; 48.48 deg, intensity 20, hkl 3 2 1; 65.14 deg, intensity 19, hkl 4 0 2

***

(2)
Calculated powder diffractogram of K2Ta6SnBr18 for Cu Kα (weighted mean of Kα1 and Kα2), from a DFT-relaxed cell (PBE, OQMD).
No peak broadening, texture or thermal motion is included.

Structural model:
a = 9.9394 Å, b = 9.9394 Å, c = 27.5035 Å
α = 90.00°, β = 90.00°, γ = 120.00°
Space group R-3 (No. 148, hexagonal axes)
One atom of each set of equivalent atoms:
K1 0.0000 0.0000 0.2209 [6 per cell]
Ta1 0.0296 0.1830 0.0434 [18 per cell]
Sn1 0.0000 0.0000 0.5000 [3 per cell]
Br1 0.0363 0.2264 0.8916 [18 per cell]
Br2 0.0391 0.2709 0.4373 [18 per cell]
Br3 0.0682 0.2491 0.6663 [18 per cell]

Principal peaks in the range 5 to 70 degrees two-theta, in order of falling intensity:
12.13 deg, intensity 100, hkl 0 1 2; 10.77 deg, intensity 78, hkl 1 0 1; 31.96 deg, intensity 69, hkl 3 -2 5; 9.65 deg, intensity 47, hkl 0 0 3; 38.08 deg, intensity 44, hkl 3 -2 8; 41.33 deg, intensity 25, hkl 4 -2 6; 48.46 deg, intensity 24, hkl 1 4 0; 35.83 deg, intensity 22, hkl 2 1 7; 51.53 deg, intensity 20, hkl 2 1 13; 37.47 deg, intensity 18, hkl 0 1 11

***

(3)
Calculated powder diffractogram of KTmBr3 for Cu Kα (weighted mean of Kα1 and Kα2), from a DFT-relaxed cell (PBE, OQMD).
No peak broadening, texture or thermal motion is included.

Structural model:
a = 9.468 Å, b = 4.003 Å, c = 16.293 Å
α = 90.00°, β = 90.00°, γ = 90.00°
Space group Pnma (No. 62)
One atom of each set of equivalent atoms:
K1 0.071 0.250 0.177 [4 per cell]
Tm1 0.132 0.750 0.457 [4 per cell]
Br1 0.043 0.750 0.627 [4 per cell]
Br2 0.168 0.750 0.009 [4 per cell]
Br3 0.222 0.250 0.805 [4 per cell]

Principal peaks in the range 5 to 70 degrees two-theta, in order of falling intensity:
10.83 deg, intensity 100, hkl 0 0 2; 31.26 deg, intensity 57, hkl 2 1 2; 29.23 deg, intensity 34, hkl 2 1 0; 29.74 deg, intensity 24, hkl 2 1 1; 35.52 deg, intensity 22, hkl 0 1 5; 36.71 deg, intensity 17, hkl 3 1 1; 28.94 deg, intensity 17, hkl 2 0 4; 45.31 deg, intensity 16, hkl 0 2 0; 24.76 deg, intensity 16, hkl 1 1 1; 33.38 deg, intensity 15, hkl 2 0 5

***

(4)
Calculated powder diffractogram of K2UBr5 for Cu Kα (weighted mean of Kα1 and Kα2), from a DFT-relaxed cell (PBE, OQMD).
No peak broadening, texture or thermal motion is included.

Structural model:
a = 13.634 Å, b = 9.241 Å, c = 8.576 Å
α = 90.00°, β = 90.00°, γ = 90.00°
Space group Pnma (No. 62)
One atom of each set of equivalent atoms:
K1 0.172 0.004 0.053 [8 per cell]
U1 0.003 0.250 0.572 [4 per cell]
Br1 0.007 0.250 0.925 [4 per cell]
Br2 0.079 0.543 0.666 [8 per cell]
Br3 0.180 0.250 0.373 [4 per cell]
Br4 0.206 0.750 0.336 [4 per cell]

Principal peaks in the range 5 to 70 degrees two-theta, in order of falling intensity:
12.19 deg, intensity 100, hkl 1 0 1; 12.99 deg, intensity 57, hkl 2 0 0; 31.34 deg, intensity 49, hkl 2 2 2; 35.41 deg, intensity 46, hkl 2 1 3; 19.21 deg, intensity 44, hkl 0 2 0; 32.65 deg, intensity 43, hkl 4 2 0; 29.16 deg, intensity 42, hkl 1 2 2; 38.99 deg, intensity 39, hkl 0 4 0; 28.17 deg, intensity 32, hkl 4 0 1; 39.80 deg, intensity 31, hkl 5 2 1